Starting from DFT lattice parameters and positions (PBE), the X-ray diffraction stick pattern of CdI2 was computed for Cu Kα (λ = 1.5418 Å).

Structure:
Cell lengths 4.3448, 4.3448, 80.9452 Å; angles 90.00, 90.00, 120.00 degrees
Space group P3m1 (No. 156)
Inequivalent atoms, fractional coordinates:
Cd 0.0000 0.0000 0.0000 x1
Cd 0.0000 0.0000 0.0909 x1
Cd 0.0000 0.0000 0.2727 x1
Cd 0.0000 0.0000 0.4546 x1
Cd 0.0000 0.0000 0.6364 x1
Cd 0.0000 0.0000 0.8182 x1
Cd 0.3333 0.6667 0.3637 x1
Cd 0.3333 0.6667 0.5455 x1
Cd 0.3333 0.6667 0.7273 x1
Cd 0.3333 0.6667 0.9091 x1
Cd 0.6667 0.3333 0.1819 x1
I 0.0000 0.0000 0.1605 x1
I 0.0000 0.0000 0.3850 x1
I 0.0000 0.0000 0.5668 x1
I 0.0000 0.0000 0.7487 x1
I 0.0000 0.0000 0.9305 x1
I 0.3333 0.6667 0.0214 x1
I 0.3333 0.6667 0.1123 x1
I 0.3333 0.6667 0.2032 x1
I 0.3333 0.6667 0.2941 x1
I 0.3333 0.6667 0.4760 x1
I 0.3333 0.6667 0.6578 x1
I 0.3333 0.6667 0.8396 x1
I 0.6667 0.3333 0.0695 x1
I 0.6667 0.3333 0.2513 x1
I 0.6667 0.3333 0.3423 x1
I 0.6667 0.3333 0.4332 x1
I 0.6667 0.3333 0.5241 x1
I 0.6667 0.3333 0.6150 x1
I 0.6667 0.3333 0.7059 x1
I 0.6667 0.3333 0.7968 x1
I 0.6667 0.3333 0.8877 x1
I 0.6667 0.3333 0.9786 x1

Principal peaks in the range 5 to 70 degrees two-theta, low angle first:
2theta, I_rel, h k l
12.0, 62.4, 0 0 11
24.2, 17.4, 0 0 22
26.6, 100.0, 0 1 11
29.6, 23.3, 0 1 16
30.3, 37.5, 1 0 17
38.4, 20.9, 0 1 27
41.6, 61.8, 1 1 0
44.1, 24.9, 1 0 33
50.0, 17.2, 2 0 11
66.6, 27.3, 1 1 44